No. 1
Diffraction record for Ba6MgNb2IrCl2O12. The XRD peak list is theoretical, not measured: it uses the PBE geometry in the Materials Project and Cu Kα, 1.54184 Å.

Peak list (10 most intense, 2θ = 5–70°, by angle)
| two_theta | intensity |
| --- | --- |
| 5.86 | 100 |
| 16.34 | 11 |
| 18.37 | 10 |
| 18.48 | 9 |
| 26.26 | 16 |
| 28.91 | 33 |
| 30.05 | 23 |
| 30.45 | 11 |
| 33.00 | 21 |
| 40.33 | 14 |

Crystal structure
```
data_Ba6MgNb2IrCl2O12
_chemical_formula_sum 'Ba6 Mg1 Nb2 Ir1 Cl2 O12'
_cell_length_a 5.9466
_cell_length_b 6.2623
_cell_length_c 15.3261
_cell_angle_alpha 80.80
_cell_angle_beta 89.98
_cell_angle_gamma 61.69
_space_group_name_H-M_alt 'P 1'
_space_group_IT_number 1
loop_
_space_group_symop_operation_xyz
'x,y,z'
loop_
_atom_site_label
_atom_site_fract_x
_atom_site_fract_y
_atom_site_fract_z
Ba1 0.0000 0.0000 0.0000
Ba2 0.0253 0.9495 0.5878
Ba3 0.0509 0.8980 0.2627
Ba4 0.2944 0.4106 0.4631
Ba5 0.3479 0.3041 0.1219
Ba6 0.3827 0.2342 0.7177
Mg1 0.4680 0.0636 0.3354
Nb1 0.6710 0.6581 0.5362
Nb2 0.7146 0.5702 0.1800
Ir1 0.7261 0.5512 0.3525
Cl1 0.3797 0.2416 0.9227
Cl2 0.9961 0.0083 0.7853
O1 0.0710 0.3408 0.2927
O2 0.3899 0.7114 0.1133
O3 0.3928 0.7883 0.4162
O4 0.4740 0.5336 0.6057
O5 0.5088 0.9816 0.5797
O6 0.5477 0.9069 0.2332
O7 0.5949 0.3409 0.2912
O8 0.8184 0.7908 0.4167
O9 0.8312 0.3414 0.4839
O10 0.8675 0.2671 0.1220
O11 0.9006 0.7103 0.1134
O12 0.9916 0.5344 0.6061
```

=====

No. 2
Diffraction record for YErCu2. The XRD peak list is theoretical, not measured: it uses the PBE geometry in the Materials Project and Cu Kα, 1.54184 Å.

Peak list (9 most intense, 2θ = 5–70°, by angle)
| two_theta | intensity |
| --- | --- |
| 22.26 | 8 |
| 25.76 | 11 |
| 36.75 | 100 |
| 43.39 | 5 |
| 45.42 | 3 |
| 52.95 | 17 |
| 58.13 | 2 |
| 59.79 | 5 |
| 66.19 | 34 |

Crystal structure
```
data_YErCu2
_chemical_formula_sum 'Y4 Er4 Cu8'
_cell_length_a 6.9171
_cell_length_b 6.9171
_cell_length_c 6.9171
_cell_angle_alpha 90.00
_cell_angle_beta 90.00
_cell_angle_gamma 90.00
_space_group_name_H-M_alt 'F m -3 m'
_space_group_IT_number 225
_space_group_name_Hall '-F 4 2 3'
loop_
_atom_site_label
_atom_site_fract_x
_atom_site_fract_y
_atom_site_fract_z
Y1 0.0000 0.0000 0.0000
Er1 0.0000 0.0000 0.5000
Cu1 0.2500 0.2500 0.2500
```

=====

No. 3
Diffraction record for MgTiGe2O6. The XRD peak list is theoretical, not measured: it uses the PBE geometry in the Materials Project and Cu Kα, 1.54184 Å.

Peak list (10 most intense, 2θ = 5–70°, by angle)
| two_theta | intensity |
| --- | --- |
| 7.58 | 70 |
| 18.45 | 30 |
| 25.19 | 100 |
| 26.96 | 40 |
| 27.76 | 24 |
| 29.35 | 92 |
| 32.75 | 56 |
| 34.10 | 37 |
| 36.10 | 19 |
| 51.02 | 30 |

Crystal structure
```
data_MgTiGe2O6
_chemical_formula_sum 'Mg4 Ti4 Ge8 O24'
_cell_length_a 11.8972
_cell_length_b 8.5059
_cell_length_c 5.3639
_cell_angle_alpha 90.00
_cell_angle_beta 101.41
_cell_angle_gamma 90.00
_space_group_name_H-M_alt 'P 1 21/c 1'
_space_group_IT_number 14
loop_
_space_group_symop_operation_xyz
'x,y,z'
'-x,-y,-z'
'-x,y+1/2,-z+1/2'
'x,-y+1/2,z+1/2'
loop_
_atom_site_label
_atom_site_fract_x
_atom_site_fract_y
_atom_site_fract_z
Mg1 0.2436 0.0434 0.1954
Ti1 0.2195 0.6558 0.1768
Ge1 0.0307 0.1509 0.7385
Ge2 0.4238 0.1428 0.7632
O1 0.0850 0.5371 0.2311
O2 0.0976 0.2093 0.0600
O3 0.1192 0.6496 0.7890
O4 0.2823 0.6638 0.5236
O5 0.3022 0.0034 0.5729
O6 0.3512 0.1828 0.0508
```

=====

No. 4
Diffraction record for CaTiO3. The XRD peak list is theoretical, not measured: it uses the PBE geometry in the Materials Project and Cu Kα, 1.54184 Å.

Peak list (10 most intense, 2θ = 5–70°, by angle)
| two_theta | intensity |
| --- | --- |
| 22.51 | 31 |
| 30.48 | 100 |
| 33.56 | 62 |
| 38.11 | 25 |
| 45.96 | 40 |
| 49.64 | 50 |
| 52.12 | 12 |
| 58.10 | 33 |
| 60.00 | 29 |
| 64.65 | 10 |

Crystal structure
```
data_CaTiO3
_chemical_formula_sum 'Ca6 Ti6 O18'
_cell_length_a 5.3410
_cell_length_b 5.3410
_cell_length_c 15.1737
_cell_angle_alpha 90.00
_cell_angle_beta 90.00
_cell_angle_gamma 120.00
_space_group_name_H-M_alt 'R -3'
_space_group_IT_number 148
_space_group_name_Hall '-R 3'
loop_
_atom_site_label
_atom_site_fract_x
_atom_site_fract_y
_atom_site_fract_z
Ca1 0.0000 0.0000 0.1367
Ti1 0.0000 0.0000 0.3508
O1 0.0097 0.3984 0.9251
```

=====

No. 5
Diffraction record for CeTh. The XRD peak list is theoretical, not measured: it uses the PBE geometry in the Materials Project and Cu Kα, 1.54184 Å.

Peak list (10 most intense, 2θ = 5–70°, by angle)
| two_theta | intensity |
| --- | --- |
| 15.69 | 7 |
| 30.39 | 4 |
| 31.74 | 100 |
| 36.82 | 51 |
| 53.00 | 18 |
| 53.11 | 18 |
| 63.14 | 32 |
| 63.22 | 11 |
| 66.18 | 3 |
| 66.37 | 9 |

Crystal structure
```
data_CeTh
_chemical_formula_sum 'Ce3 Th3'
_cell_length_a 3.4491
_cell_length_b 3.4491
_cell_length_c 16.9438
_cell_angle_alpha 90.00
_cell_angle_beta 90.00
_cell_angle_gamma 120.00
_space_group_name_H-M_alt 'R -3 m'
_space_group_IT_number 166
_space_group_name_Hall '-R 3 2"'
loop_
_atom_site_label
_atom_site_fract_x
_atom_site_fract_y
_atom_site_fract_z
Ce1 0.0000 0.0000 0.0000
Th1 0.0000 0.0000 0.5000
```